1.
For LiZn2Mo2, a PBE-relaxed structure gives the simulated XRD peak list in this record (Cu Kα (λ = 1.5418 Å)).
Peak positions follow from Bragg's law for the DFT cell and can differ from measured ones.

Cell and atoms:
a b c (Å): 8.099 8.099 2.599
angles (deg): 90.00 90.00 90.00
Sites, in units of the cell vectors:
Li1 0.000 0.000 0.000
Li2 0.500 0.500 0.000
Zn1 0.184 0.316 0.500
Zn2 0.316 0.816 0.500
Zn3 0.684 0.184 0.500
Zn4 0.816 0.684 0.500
Mo1 0.109 0.609 0.000
Mo2 0.391 0.109 0.000
Mo3 0.609 0.891 0.000
Mo4 0.891 0.391 0.000

Top 10 peaks for 2θ from 10° to 90°, sorted by position:
- 15.47 deg, I 100
- 35.04 deg, I 24
- 40.15 deg, I 41
- 41.28 deg, I 18
- 42.83 deg, I 77
- 44.76 deg, I 12
- 46.22 deg, I 21
- 53.95 deg, I 15
- 69.34 deg, I 15
- 78.00 deg, I 11

2.
For LiZrMo4, a PBE-relaxed structure gives the simulated XRD peak list in this record (Cu Kα (λ = 1.5418 Å)).
Peak positions follow from Bragg's law for the DFT cell and can differ from measured ones.

Cell and atoms:
a b c (Å): 5.327 5.327 5.327
angles (deg): 60.00 60.00 60.00
Sites, in units of the cell vectors:
Li1 0.000 0.000 0.000
Zr1 0.750 0.750 0.750
Mo1 0.374 0.374 0.374
Mo2 0.374 0.374 0.877
Mo3 0.374 0.877 0.374
Mo4 0.877 0.374 0.374

Top 10 peaks for 2θ from 10° to 90°, sorted by position:
- 20.42 deg, I 50
- 23.62 deg, I 11
- 39.68 deg, I 100
- 41.53 deg, I 63
- 48.33 deg, I 16
- 52.98 deg, I 11
- 64.25 deg, I 31
- 70.75 deg, I 28
- 84.30 deg, I 11
- 85.50 deg, I 24

3.
For Li2ZrMo, a PBE-relaxed structure gives the simulated XRD peak list in this record (Cu Kα (λ = 1.5418 Å)).
Peak positions follow from Bragg's law for the DFT cell and can differ from measured ones.

Cell and atoms:
a b c (Å): 3.115 4.403 10.550
angles (deg): 90.00 90.00 90.00
Sites, in units of the cell vectors:
Li1 0.000 0.000 0.237
Li2 0.000 0.000 0.763
Li3 0.500 0.500 0.263
Li4 0.500 0.500 0.737
Zr1 0.000 0.500 0.000
Zr2 0.500 0.000 0.500
Mo1 0.000 0.500 0.500
Mo2 0.500 0.000 0.000

Top 10 peaks for 2θ from 10° to 90°, sorted by position:
- 16.81 deg, I 100
- 33.99 deg, I 21
- 35.30 deg, I 31
- 39.34 deg, I 56
- 41.00 deg, I 13
- 44.60 deg, I 16
- 49.81 deg, I 23
- 54.28 deg, I 11
- 64.43 deg, I 12
- 73.56 deg, I 8

4.
For Li3N, a PBE-relaxed structure gives the simulated XRD peak list in this record (Cu Kα (λ = 1.5418 Å)).
Peak positions follow from Bragg's law for the DFT cell and can differ from measured ones.

Cell and atoms:
a b c (Å): 3.650 3.650 3.890
angles (deg): 90.00 90.00 120.00
Sites, in units of the cell vectors:
Li1 0.000 0.000 0.000
Li2 0.333 0.667 0.500
Li3 0.667 0.333 0.500
N1 0.000 0.000 0.500

Top 10 peaks for 2θ from 10° to 90°, sorted by position:
- 22.86 deg, I 100
- 28.23 deg, I 88
- 36.63 deg, I 4
- 46.70 deg, I 26
- 49.98 deg, I 62
- 55.47 deg, I 15
- 55.63 deg, I 32
- 58.39 deg, I 6
- 70.80 deg, I 36
- 77.88 deg, I 4

5.
For Li8N3, a PBE-relaxed structure gives the simulated XRD peak list in this record (Cu Kα (λ = 1.5418 Å)).
Peak positions follow from Bragg's law for the DFT cell and can differ from measured ones.

Cell and atoms:
a b c (Å): 4.944 4.944 4.944
angles (deg): 89.81 89.81 89.81
Sites, in units of the cell vectors:
Li1 0.225 0.225 0.225
Li2 0.226 0.226 0.772
Li3 0.226 0.772 0.226
Li4 0.228 0.774 0.774
Li5 0.772 0.226 0.226
Li6 0.774 0.228 0.774
Li7 0.774 0.774 0.228
Li8 0.775 0.775 0.775
N1 0.000 0.000 0.500
N2 0.000 0.500 0.000
N3 0.500 0.000 0.000

Top 10 peaks for 2θ from 10° to 90°, sorted by position:
- 17.94 deg, I 100
- 25.48 deg, I 33
- 31.24 deg, I 30
- 31.38 deg, I 88
- 44.96 deg, I 9
- 52.25 deg, I 59
- 52.44 deg, I 59
- 55.84 deg, I 8
- 62.34 deg, I 20
- 77.19 deg, I 13

6.
For Li3N2, a PBE-relaxed structure gives the simulated XRD peak list in this record (Cu Kα (λ = 1.5418 Å)).
Peak positions follow from Bragg's law for the DFT cell and can differ from measured ones.

Cell and atoms:
a b c (Å): 3.526 3.526 4.680
angles (deg): 90.00 90.00 90.00
Sites, in units of the cell vectors:
Li1 0.000 0.000 0.000
Li2 0.000 0.000 0.500
Li3 0.500 0.500 0.000
N1 0.000 0.500 0.219
N2 0.500 0.000 0.781

Top 10 peaks for 2θ from 10° to 90°, sorted by position:
- 18.96 deg, I 15
- 31.78 deg, I 100
- 36.03 deg, I 6
- 46.58 deg, I 5
- 51.87 deg, I 23
- 53.72 deg, I 37
- 62.12 deg, I 16
- 65.42 deg, I 5
- 76.41 deg, I 6
- 88.08 deg, I 3